No. 1
Computed X-ray powder pattern of PmHgAuO4 for copper Kα, from a structure optimized by DFT (GGA-PBE).

Structural model:
Cell lengths 6.583, 7.444, 10.419 Å; angles 90.00, 90.00, 90.00 degrees
Space group Imma (No. 74)
Symmetry-distinct sites (fractional):
Pm (0.000, 0.000, 0.000)
Hg (0.000, 0.250, 0.438)
Au (0.250, 0.250, 0.750)
O (0.000, 0.080, 0.770)
O (0.200, 0.250, 0.048)

Top 6 peaks for 15 to 90 degrees two-theta, by angle:
- (0 1 3), d = 3.147 Å, rel. 897
- (1 2 1), d = 3.094 Å, rel. 1000
- (2 1 1), d = 2.892 Å, rel. 494
- (2 0 2), d = 2.783 Å, rel. 670
- (0 4 0), d = 1.860 Å, rel. 465
- (2 4 2), d = 1.547 Å, rel. 289


No. 2
Computed X-ray powder pattern of Zn2HgPb for copper Kα, from a structure optimized by DFT (GGA-PBE).

Structural model:
Cell lengths 4.138, 4.231, 5.553 Å; angles 90.00, 111.80, 90.00 degrees
Space group Pm (No. 6)
Symmetry-distinct sites (fractional):
Zn (0.000, 0.000, 0.000)
Zn (0.150, 0.500, 0.297)
Hg (0.721, 0.000, 0.444)
Pb (0.425, 0.500, 0.850)

Top 6 peaks for 15 to 90 degrees two-theta, by angle:
- (0 1 1), d = 3.271 Å, rel. 345
- (1 1 -1), d = 2.843 Å, rel. 1000
- (1 0 -2), d = 2.644 Å, rel. 446
- (1 1 1), d = 2.242 Å, rel. 261
- (0 2 0), d = 2.115 Å, rel. 216
- (1 2 -2), d = 1.652 Å, rel. 222


No. 3
Computed X-ray powder pattern of Pm3HoGa3 for copper Kα, from a structure optimized by DFT (GGA-PBE).

Structural model:
Cell lengths 9.509, 11.012, 7.389 Å; angles 90.00, 90.99, 90.00 degrees
Space group C2/m (No. 12)
Symmetry-distinct sites (fractional):
Pm (0.000, 0.189, 0.000)
Pm (0.000, 0.253, 0.500)
Pm (0.158, 0.500, 0.861)
Ho (0.226, 0.500, 0.379)
Ga (0.038, 0.000, 0.303)
Ga (0.248, 0.253, 0.241)

Top 6 peaks for 15 to 90 degrees two-theta, by angle:
- (3 1 0), d = 3.045 Å, rel. 381
- (2 0 2), d = 2.893 Å, rel. 557
- (0 4 0), d = 2.753 Å, rel. 648
- (2 2 -2), d = 2.594 Å, rel. 1000
- (1 3 2), d = 2.503 Å, rel. 418
- (0 2 4), d = 1.751 Å, rel. 379


No. 4
Computed X-ray powder pattern of PmAl2Ag6 for copper Kα, from a structure optimized by DFT (GGA-PBE).

Structural model:
Cell lengths 4.323, 4.323, 9.445 Å; angles 90.00, 90.00, 90.00 degrees
Space group P4/mmm (No. 123)
Symmetry-distinct sites (fractional):
Pm (0.000, 0.000, 0.000)
Al (0.500, 0.500, 0.134)
Ag (0.000, 0.000, 0.500)
Ag (0.000, 0.500, 0.290)
Ag (0.500, 0.500, 0.500)

Top 6 peaks for 15 to 90 degrees two-theta, by angle:
- (1 1 2), d = 2.566 Å, rel. 1000
- (1 1 3), d = 2.193 Å, rel. 199
- (2 0 0), d = 2.161 Å, rel. 399
- (2 0 4), d = 1.594 Å, rel. 121
- (2 2 0), d = 1.528 Å, rel. 127
- (3 1 2), d = 1.313 Å, rel. 227